This entry pairs a crystal structure of CrAgP2S6 with its computed XRD peak list. Radiation: Cu Ka. Structure: a structure optimized by DFT (GGA-PBE).
Peak positions follow from Bragg's law for the DFT cell and can differ from measured ones.

Top 8 peaks for 10° ≤ 2θ ≤ 80°, sorted by position:
2theta  d [Å]  I/Imax  hkl
12.41  7.131  100  1 0 0
29.47  3.031  17  0 3 1
30.32  2.948  13  1 0 -2
33.62  2.666  42  1 3 1
34.70  2.585  20  2 0 -2
41.58  2.172  12  2 3 1
45.27  2.003  10  3 3 -1
52.71  1.737  13  1 3 -3

Atomic structure:
```
CrAgP2S6
1.0
7.368 0.000 0.000
0.000 10.680 0.000
-1.502 0.000 5.778
Cr Ag P S
2 2 4 12
Direct
0.000 0.082 0.250
0.000 0.918 0.750
0.000 0.439 0.250
0.000 0.561 0.750
0.156 0.244 0.793
0.156 0.756 0.293
0.844 0.244 0.707
0.844 0.756 0.207
0.204 0.074 0.984
0.204 0.926 0.484
0.219 0.231 0.479
0.219 0.769 0.979
0.263 0.393 0.976
0.263 0.607 0.476
0.737 0.393 0.524
0.737 0.607 0.024
0.781 0.231 0.021
0.781 0.769 0.521
0.796 0.074 0.516
0.796 0.926 0.016
```